Diffraction record for BeSnH. The XRD peak list is theoretical, not measured: it uses the PBE geometry in Alexandria and Cu Kα, 1.54184 Å.
Peak positions follow from Bragg's law for the DFT cell and can differ from measured ones.

The 8 most intense peaks (10° ≤ 2θ ≤ 90°), sorted by position:
2θ 13.0, rel. 100.0, (1 0 0)
2θ 24.0, rel. 56.1, (1 1 0)
2θ 27.8, rel. 38.1, (1 0 -2)
2θ 30.4, rel. 24.5, (0 0 2)
2θ 31.1, rel. 24.8, (2 0 -2)
2θ 33.1, rel. 40.8, (2 1 0)
2θ 43.2, rel. 23.7, (1 1 2)
2θ 44.3, rel. 21.2, (3 1 -2)

Structural model:
a b c (Å): 7.463 4.426 6.431
angles (deg): 90.00 113.67 90.00
Space group P2_1/c (No. 14)
Symmetry-distinct sites (fractional):
Be 0.096 0.188 0.307 x4
Sn 0.373 0.174 0.696 x4
H 0.066 0.619 0.723 x4



Diffraction record for KMnAlH6. The XRD peak list is theoretical, not measured: it uses the PBE geometry in Alexandria and Cu Kα, 1.54184 Å.
Peak positions follow from Bragg's law for the DFT cell and can differ from measured ones.

The 8 most intense peaks (10° ≤ 2θ ≤ 90°), sorted by position:
2θ 16.3, rel. 18.2, (0 0 1)
2θ 28.5, rel. 100.0, (1 0 1)
2θ 33.0, rel. 19.6, (0 0 2)
2θ 40.7, rel. 37.4, (1 1 0)
2θ 50.4, rel. 17.5, (2 0 1)
2θ 53.4, rel. 31.3, (1 1 2)
2θ 66.7, rel. 15.9, (2 1 1)
2θ 83.5, rel. 15.1, (3 0 2)

Structural model:
a b c (Å): 4.4310 4.4310 5.4356
angles (deg): 90.00 90.00 120.00
Space group P-6m2 (No. 187)
Symmetry-distinct sites (fractional):
K 0.0000 0.0000 0.0000 x1
Mn 0.3333 0.6667 0.5000 x1
Al 0.6667 0.3333 0.5000 x1
H 0.0309 0.5154 0.2896 x6



Diffraction record for Np4S3F7. The XRD peak list is theoretical, not measured: it uses the PBE geometry in Alexandria and Cu Kα, 1.54184 Å.
Peak positions follow from Bragg's law for the DFT cell and can differ from measured ones.

The 8 most intense peaks (10° ≤ 2θ ≤ 90°), sorted by position:
2θ 23.1, rel. 89.4, (0 0 2)
2θ 23.9, rel. 76.4, (4 0 -1)
2θ 25.0, rel. 50.1, (1 1 -1)
2θ 28.8, rel. 73.3, (1 1 1)
2θ 29.1, rel. 100.0, (4 0 -3)
2θ 37.6, rel. 37.4, (5 1 -2)
2θ 46.7, rel. 34.5, (1 1 3)
2θ 47.3, rel. 38.6, (0 2 0)

Structural model:
a b c (Å): 15.316 3.842 9.602
angles (deg): 90.00 126.69 90.00
Space group C2/m (No. 12)
Symmetry-distinct sites (fractional):
Np 0.106 0.000 0.295 x4
Np 0.161 0.500 0.757 x4
S 0.000 0.000 0.500 x2
S 0.196 0.500 0.206 x4
F 0.000 0.000 0.000 x2
F 0.010 0.500 0.777 x4
F 0.172 0.000 0.919 x4
F 0.182 0.500 0.509 x4



Diffraction record for Tm5Al2Tl2. The XRD peak list is theoretical, not measured: it uses the PBE geometry in Alexandria and Cu Kα, 1.54184 Å.
Peak positions follow from Bragg's law for the DFT cell and can differ from measured ones.

The 8 most intense peaks (10° ≤ 2θ ≤ 90°), sorted by position:
2θ 25.7, rel. 41.1, (0 2 1)
2θ 30.9, rel. 45.4, (3 1 2)
2θ 32.1, rel. 100.0, (4 2 0)
2θ 32.3, rel. 90.0, (4 0 2)
2θ 32.4, rel. 67.0, (5 1 1)
2θ 32.8, rel. 82.6, (0 2 2)
2θ 34.2, rel. 46.3, (4 2 1)
2θ 58.3, rel. 36.4, (5 3 3)

Structural model:
a b c (Å): 16.007 7.768 7.692
angles (deg): 90.00 90.00 90.00
Space group Cmce (No. 64)
Symmetry-distinct sites (fractional):
Tm 0.000 0.000 0.000 x4
Tm 0.131 0.184 0.322 x16
Al 0.000 0.119 0.620 x8
Tl 0.219 0.000 0.000 x8